No. 1
# CaEuHfWO6
Simulated XRD peak list, CuKα. Input: DFT lattice parameters and positions (PBE+U).

Largest 10 diffraction maxima, by intensity, 2θ = 10–90°:
d/Å  2θ/deg  Rel. int.  index
2.897  30.86  100  2 2 0
1.673  54.89  40  4 2 2
2.049  44.21  29  4 0 0
1.095  89.50  22  6 4 2
1.449  64.31  18  4 4 0
1.296  73.02  18  6 2 0
4.097  21.69  17  2 0 0
4.731  18.76  10  1 1 1
1.832  49.76  8  4 2 0
1.183  81.35  6  4 4 4

Crystal structure
```
data_CaEuHfWO6
_symmetry_space_group_name_H-M 'F -4 3 m'
_symmetry_Int_Tables_number 216
_symmetry_space_group_name_Hall 'F -4 2 3'
_cell_length_a 8.195
_cell_length_b 8.195
_cell_length_c 8.195
_cell_angle_alpha 90.00
_cell_angle_beta 90.00
_cell_angle_gamma 90.00
loop_
_atom_site_label
_atom_site_type_symbol
_atom_site_fract_x
_atom_site_fract_y
_atom_site_fract_z
Ca1 Ca 0.000 0.000 0.000
Eu1 Eu 0.000 0.000 0.500
Hf1 Hf 0.250 0.250 0.250
W1 W 0.250 0.250 0.750
O1 O 0.000 0.250 0.250
```

---

No. 2
# Li3Co2Si2O8
Simulated XRD peak list, CuKα. Input: DFT lattice parameters and positions (PBE+U).

Largest 10 diffraction maxima, by intensity, 2θ = 10–90°:
d/Å  2θ/deg  Rel. int.  index
4.104  21.65  100  1 1 -1
4.030  22.06  96  1 1 1
2.661  33.69  74  2 2 0
3.249  27.45  40  0 2 1
2.735  32.75  38  1 1 -2
2.690  33.30  37  1 1 2
1.558  59.30  25  3 3 -2
1.534  60.35  22  3 3 2
3.736  23.82  20  2 0 0
2.233  40.38  14  3 1 -1

Crystal structure
```
data_Li3Co2Si2O8
_symmetry_space_group_name_H-M 'C 1 2 1'
_symmetry_Int_Tables_number 5
_symmetry_space_group_name_Hall 'C 2y'
_cell_length_a 7.474
_cell_length_b 7.580
_cell_length_c 6.307
_cell_angle_alpha 90.00
_cell_angle_beta 91.50
_cell_angle_gamma 90.00
loop_
_atom_site_label
_atom_site_type_symbol
_atom_site_fract_x
_atom_site_fract_y
_atom_site_fract_z
Li1 Li 0.000 0.000 0.000
Li2 Li 0.180 0.690 0.261
Co1 Co 0.000 0.022 0.500
Co2 Co 0.000 0.368 0.000
Si1 Si 0.176 0.691 0.754
O1 O 0.039 0.521 0.782
O2 O 0.040 0.862 0.749
O3 O 0.190 0.200 0.028
O4 O 0.211 0.170 0.460
```